# 1
Starting from a DFT-relaxed cell (GGA-PBE, Alexandria), the powder X-ray diffraction pattern of RbZnI2N was calculated for copper Kα.
Lines closer than 0.1° are merged.

Crystal structure
Cell: 6.2027 6.2027 3.9829 Å, 90.00 90.00 90.00°
Space group P4/mmm (No. 123)
Symmetry-distinct sites (fractional):
Rb (0.0000, 0.0000, 0.0000)
Zn (0.5000, 0.5000, 0.5000)
I (0.0000, 0.5000, 0.5000)
N (0.5000, 0.5000, 0.0000)

Main lines, sorted by position (15° ≤ 2θ ≤ 90°):
2θ = 22.32°, rel. 25.6, hkl 0 0 1; 2θ = 26.60°, rel. 28.3, hkl 1 0 1; 2θ = 28.79°, rel. 100.0, hkl 2 0 0; 2θ = 30.31°, rel. 76.2, hkl 1 1 1; 2θ = 36.73°, rel. 28.5, hkl 2 0 1; 2θ = 39.59°, rel. 19.7, hkl 2 1 1; 2θ = 41.16°, rel. 37.1, hkl 2 2 0; 2θ = 51.97°, rel. 32.2, hkl 3 1 1; 2θ = 54.78°, rel. 31.3, hkl 2 0 2; 2θ = 63.06°, rel. 20.3, hkl 2 2 2

=====

# 2
Starting from a DFT-relaxed cell (GGA-PBE, Alexandria), the powder X-ray diffraction pattern of Ac2SnAs2O2 was calculated for copper Kα.
Lines closer than 0.1° are merged.

Crystal structure
Cell: 4.0892 4.0892 13.7426 Å, 90.00 90.00 120.00°
Space group P-3m1 (No. 164)
Symmetry-distinct sites (fractional):
Ac (0.3333, 0.6667, 0.2613)
Sn (0.0000, 0.0000, 0.5000)
As (0.0000, 0.0000, 0.0796)
O (0.3333, 0.6667, 0.7205)

Main lines, sorted by position (15° ≤ 2θ ≤ 90°):
2θ = 25.97°, rel. 100.0, hkl 0 0 4; 2θ = 28.35°, rel. 95.0, hkl 1 0 2; 2θ = 31.94°, rel. 53.1, hkl 0 1 3; 2θ = 41.59°, rel. 24.9, hkl 1 0 5; 2θ = 44.30°, rel. 41.2, hkl 1 1 0; 2θ = 52.06°, rel. 35.6, hkl 1 1 4; 2θ = 53.35°, rel. 24.4, hkl 0 1 7; 2θ = 53.44°, rel. 16.5, hkl 0 2 2; 2θ = 60.71°, rel. 13.4, hkl 0 0 9; 2θ = 71.82°, rel. 28.9, hkl 2 0 7

=====

# 3
Starting from a DFT-relaxed cell (GGA-PBE, Alexandria), the powder X-ray diffraction pattern of Ni8H was calculated for copper Kα.
Lines closer than 0.1° are merged.

Crystal structure
Cell: 5.0077 5.0077 4.1171 Å, 90.00 90.00 120.00°
Space group P-3m1 (No. 164)
Symmetry-distinct sites (fractional):
Ni (0.1695, 0.3390, 0.2469)
Ni (0.3333, 0.6667, 0.7508)
H (0.0000, 0.0000, 0.5000)

Main lines, sorted by position (15° ≤ 2θ ≤ 90°):
2θ = 41.65°, rel. 24.5, hkl 2 0 0; 2θ = 43.99°, rel. 27.9, hkl 0 0 2; 2θ = 47.38°, rel. 100.0, hkl 2 0 1; 2θ = 62.18°, rel. 13.9, hkl 0 2 2; 2θ = 76.02°, rel. 14.6, hkl 2 2 0; 2θ = 83.33°, rel. 16.9, hkl 2 0 3

=====

Question: What is the formula in the third record?
Answer: Ni8H